Record 1
Diffraction record for K6InAg. The powder X-ray diffraction pattern is computed, not measured: it uses DFT lattice parameters and positions (PBE) and copper Kα.
Intensities are scaled so that the largest is 1000.

Cell lengths 4.710, 13.254, 14.477 Å; angles 90.00, 90.00, 90.00 degrees
Space group Amm2 (No. 38)
Asymmetric unit:
K: 0.000 0.000 0.000 [2 per cell]
K: 0.000 0.160 0.707 [4 per cell]
K: 0.500 0.000 0.269 [2 per cell]
K: 0.500 0.222 0.461 [4 per cell]
In: 0.000 0.000 0.481 [2 per cell]
Ag: 0.500 0.000 0.587 [2 per cell]

Principal peaks in the range 15° ≤ 2θ ≤ 90°, low angle first:
| 2theta | d [Å] | I/Imax |
| --- | --- | --- |
| 18.15 | 4.888 | 311 |
| 26.28 | 3.392 | 1000 |
| 26.91 | 3.313 | 276 |
| 27.32 | 3.264 | 708 |
| 29.65 | 3.013 | 297 |
| 33.44 | 2.680 | 351 |
| 34.04 | 2.634 | 449 |
| 38.21 | 2.355 | 227 |
| 44.34 | 2.043 | 298 |
| 52.29 | 1.750 | 288 |

***

Record 2
Diffraction record for K4In3Ag2. The powder X-ray diffraction pattern is computed, not measured: it uses DFT lattice parameters and positions (PBE) and copper Kα.
Intensities are scaled so that the largest is 1000.

Cell lengths 17.989, 4.676, 8.222 Å; angles 90.00, 105.49, 90.00 degrees
Space group C2/m (No. 12)
Asymmetric unit:
K: 0.082 0.000 0.388 [4 per cell]
K: 0.230 0.500 0.185 [4 per cell]
In: 0.000 0.500 0.000 [2 per cell]
In: 0.099 0.500 0.744 [4 per cell]
Ag: 0.081 0.000 0.934 [4 per cell]

Principal peaks in the range 15° ≤ 2θ ≤ 90°, low angle first:
| 2theta | d [Å] | I/Imax |
| --- | --- | --- |
| 17.06 | 5.197 | 1000 |
| 27.13 | 3.286 | 294 |
| 28.69 | 3.111 | 484 |
| 30.45 | 2.935 | 531 |
| 30.95 | 2.889 | 309 |
| 31.05 | 2.880 | 529 |
| 31.69 | 2.824 | 333 |
| 35.19 | 2.550 | 903 |
| 38.51 | 2.338 | 463 |
| 38.63 | 2.331 | 467 |

***

Record 3
Diffraction record for K2LiIn5Ag2. The powder X-ray diffraction pattern is computed, not measured: it uses DFT lattice parameters and positions (PBE) and copper Kα.
Intensities are scaled so that the largest is 1000.

Cell lengths 11.640, 11.640, 3.894 Å; angles 90.00, 90.00, 90.00 degrees
Space group P4/mbm (No. 127)
Asymmetric unit:
K: 0.178 0.322 0.000 [4 per cell]
Li: 0.000 0.000 0.000 [2 per cell]
In: 0.000 0.500 0.500 [2 per cell]
In: 0.055 0.812 0.500 [8 per cell]
Ag: 0.127 0.627 0.000 [4 per cell]

Principal peaks in the range 15° ≤ 2θ ≤ 90°, low angle first:
| 2theta | d [Å] | I/Imax |
| --- | --- | --- |
| 17.03 | 5.206 | 484 |
| 31.68 | 2.824 | 492 |
| 32.64 | 2.744 | 412 |
| 33.50 | 2.675 | 1000 |
| 36.14 | 2.485 | 586 |
| 38.63 | 2.331 | 312 |
| 39.43 | 2.285 | 227 |
| 41.79 | 2.162 | 187 |
| 46.65 | 1.947 | 208 |
| 55.84 | 1.646 | 164 |

***

Record 4
Diffraction record for K2NaIn12Ag3. The powder X-ray diffraction pattern is computed, not measured: it uses DFT lattice parameters and positions (PBE) and copper Kα.
Intensities are scaled so that the largest is 1000.

Cell lengths 11.0998, 11.0998, 14.3413 Å; angles 90.00, 90.00, 120.00 degrees
Space group R-3m (No. 166, hexagonal axes)
Asymmetric unit:
K: 0.0000 0.0000 0.1123 [6 per cell]
Na: 0.0000 0.0000 0.5000 [3 per cell]
In: 0.0101 0.5051 0.1954 [18 per cell]
In: 0.0545 0.5272 0.3991 [18 per cell]
Ag: 0.0000 0.5000 0.0000 [9 per cell]

Principal peaks in the range 15° ≤ 2θ ≤ 90°, low angle first:
| 2theta | d [Å] | I/Imax |
| --- | --- | --- |
| 15.97 | 5.550 | 352 |
| 27.84 | 3.204 | 157 |
| 32.26 | 2.775 | 1000 |
| 32.58 | 2.749 | 180 |
| 36.48 | 2.463 | 661 |
| 40.05 | 2.251 | 165 |
| 49.48 | 1.842 | 200 |
| 57.53 | 1.602 | 109 |
| 60.31 | 1.535 | 160 |
| 68.25 | 1.374 | 120 |

***

Record 5
Diffraction record for K2In12AgPd3. The powder X-ray diffraction pattern is computed, not measured: it uses DFT lattice parameters and positions (PBE) and copper Kα.
Intensities are scaled so that the largest is 1000.

Cell lengths 10.0694, 10.0694, 19.6192 Å; angles 90.00, 90.00, 120.00 degrees
Space group R-3m (No. 166, hexagonal axes)
Asymmetric unit:
K: 0.0000 0.0000 0.0931 [6 per cell]
In: 0.0079 0.5040 0.8622 [18 per cell]
In: 0.0972 0.5486 0.2984 [18 per cell]
Ag: 0.0000 0.0000 0.5000 [3 per cell]
Pd: 0.0000 0.5000 0.0000 [9 per cell]

Principal peaks in the range 15° ≤ 2θ ≤ 90°, low angle first:
| 2theta | d [Å] | I/Imax |
| --- | --- | --- |
| 20.86 | 4.258 | 751 |
| 27.28 | 3.269 | 313 |
| 28.57 | 3.124 | 435 |
| 32.72 | 2.737 | 390 |
| 33.59 | 2.668 | 490 |
| 33.74 | 2.656 | 333 |
| 35.66 | 2.517 | 1000 |
| 38.17 | 2.358 | 697 |
| 41.68 | 2.167 | 366 |
| 56.51 | 1.629 | 362 |

***

Record 6
Diffraction record for KIn2AgPd. The powder X-ray diffraction pattern is computed, not measured: it uses DFT lattice parameters and positions (PBE) and copper Kα.
Intensities are scaled so that the largest is 1000.

Cell lengths 5.160, 5.160, 5.461 Å; angles 90.00, 90.00, 90.00 degrees
Space group P4/mmm (No. 123)
Asymmetric unit:
K: 0.000 0.000 0.000 [1 per cell]
In: 0.000 0.500 0.500 [2 per cell]
Ag: 0.500 0.500 0.000 [1 per cell]
Pd: 0.500 0.500 0.500 [1 per cell]

Principal peaks in the range 15° ≤ 2θ ≤ 90°, low angle first:
| 2theta | d [Å] | I/Imax |
| --- | --- | --- |
| 16.23 | 5.461 | 469 |
| 17.18 | 5.160 | 754 |
| 29.44 | 3.034 | 993 |
| 32.80 | 2.730 | 587 |
| 34.77 | 2.580 | 1000 |
| 38.59 | 2.333 | 220 |
| 48.55 | 1.875 | 752 |
| 49.99 | 1.825 | 344 |
| 59.08 | 1.564 | 251 |
| 61.09 | 1.517 | 366 |

***

Record 7
Diffraction record for KInAgSe2. The powder X-ray diffraction pattern is computed, not measured: it uses DFT lattice parameters and positions (PBE) and copper Kα.
Intensities are scaled so that the largest is 1000.

Cell lengths 6.841, 14.527, 5.997 Å; angles 90.00, 90.00, 90.00 degrees
Space group Cmme (No. 67)
Asymmetric unit:
K: 0.000 0.250 0.235 [4 per cell]
In: 0.250 0.000 0.500 [4 per cell]
Ag: 0.000 0.000 0.000 [4 per cell]
Se: 0.000 0.133 0.730 [8 per cell]

Principal peaks in the range 15° ≤ 2θ ≤ 90°, low angle first:
| 2theta | d [Å] | I/Imax |
| --- | --- | --- |
| 20.62 | 4.307 | 349 |
| 26.05 | 3.421 | 337 |
| 27.02 | 3.300 | 585 |
| 30.08 | 2.971 | 542 |
| 32.30 | 2.772 | 798 |
| 32.56 | 2.750 | 1000 |
| 36.80 | 2.442 | 422 |
| 38.95 | 2.312 | 684 |
| 39.17 | 2.300 | 740 |
| 48.50 | 1.877 | 296 |

***

Record 8
Diffraction record for KInAgSn2. The powder X-ray diffraction pattern is computed, not measured: it uses DFT lattice parameters and positions (PBE) and copper Kα.
Intensities are scaled so that the largest is 1000.

Cell lengths 4.869, 4.869, 12.360 Å; angles 90.00, 90.00, 90.00 degrees
Space group I-4m2 (No. 119)
Asymmetric unit:
K: 0.000 0.000 0.000 [2 per cell]
In: 0.000 0.500 0.250 [2 per cell]
Ag: 0.000 0.500 0.750 [2 per cell]
Sn: 0.000 0.000 0.383 [4 per cell]

Principal peaks in the range 15° ≤ 2θ ≤ 90°, low angle first:
| 2theta | d [Å] | I/Imax |
| --- | --- | --- |
| 19.60 | 4.530 | 582 |
| 28.38 | 3.145 | 447 |
| 29.70 | 3.008 | 998 |
| 36.92 | 2.434 | 844 |
| 39.17 | 2.300 | 1000 |
| 40.95 | 2.204 | 298 |
| 53.21 | 1.721 | 290 |
| 56.31 | 1.634 | 234 |
| 62.13 | 1.494 | 224 |
| 68.03 | 1.378 | 399 |

***

Record 9
Diffraction record for La3In2Ag9. The powder X-ray diffraction pattern is computed, not measured: it uses DFT lattice parameters and positions (PBE) and copper Kα.
Intensities are scaled so that the largest is 1000.

Cell lengths 4.788, 9.660, 14.102 Å; angles 90.00, 90.00, 90.00 degrees
Space group Immm (No. 71)
Asymmetric unit:
La: 0.000 0.000 0.000 [2 per cell]
La: 0.000 0.000 0.290 [4 per cell]
In: 0.000 0.183 0.500 [4 per cell]
Ag: 0.000 0.288 0.137 [8 per cell]
Ag: 0.000 0.358 0.338 [8 per cell]
Ag: 0.000 0.500 0.000 [2 per cell]

Principal peaks in the range 15° ≤ 2θ ≤ 90°, low angle first:
| 2theta | d [Å] | I/Imax |
| --- | --- | --- |
| 31.42 | 2.848 | 357 |
| 32.50 | 2.755 | 1000 |
| 32.88 | 2.724 | 393 |
| 33.54 | 2.672 | 386 |
| 33.74 | 2.656 | 221 |
| 35.94 | 2.499 | 474 |
| 37.57 | 2.394 | 654 |
| 38.30 | 2.350 | 280 |
| 42.43 | 2.130 | 459 |
| 63.16 | 1.472 | 237 |

***

Record 10
Diffraction record for La8In2Ag. The powder X-ray diffraction pattern is computed, not measured: it uses DFT lattice parameters and positions (PBE) and copper Kα.
Intensities are scaled so that the largest is 1000.

Cell lengths 5.564, 7.390, 17.296 Å; angles 90.00, 90.00, 90.00 degrees
Space group Immm (No. 71)
Asymmetric unit:
La: 0.000 0.000 0.197 [4 per cell]
La: 0.000 0.235 0.362 [8 per cell]
La: 0.000 0.282 0.000 [4 per cell]
In: 0.000 0.500 0.186 [4 per cell]
Ag: 0.000 0.500 0.500 [2 per cell]

Principal peaks in the range 15° ≤ 2θ ≤ 90°, low angle first:
| 2theta | d [Å] | I/Imax |
| --- | --- | --- |
| 26.23 | 3.398 | 103 |
| 30.43 | 2.938 | 273 |
| 31.02 | 2.883 | 157 |
| 32.18 | 2.782 | 342 |
| 32.99 | 2.715 | 1000 |
| 45.32 | 2.001 | 127 |
| 48.80 | 1.866 | 111 |
| 57.89 | 1.593 | 196 |
| 59.67 | 1.550 | 121 |
| 60.12 | 1.539 | 93 |

***

Record 11
Diffraction record for La12InAg5. The powder X-ray diffraction pattern is computed, not measured: it uses DFT lattice parameters and positions (PBE) and copper Kα.
Intensities are scaled so that the largest is 1000.

Cell lengths 10.152, 10.375, 10.901 Å; angles 90.00, 90.00, 90.00 degrees
Space group Immm (No. 71)
Asymmetric unit:
La: 0.000 0.220 0.176 [8 per cell]
La: 0.180 0.229 0.500 [8 per cell]
La: 0.193 0.500 0.253 [8 per cell]
In: 0.000 0.500 0.000 [2 per cell]
Ag: 0.000 0.000 0.371 [4 per cell]
Ag: 0.000 0.500 0.500 [2 per cell]
Ag: 0.143 0.000 0.000 [4 per cell]

Principal peaks in the range 15° ≤ 2θ ≤ 90°, low angle first:
| 2theta | d [Å] | I/Imax |
| --- | --- | --- |
| 29.58 | 3.020 | 1000 |
| 31.32 | 2.856 | 642 |
| 32.32 | 2.770 | 714 |
| 32.64 | 2.743 | 607 |
| 32.86 | 2.725 | 172 |
| 34.58 | 2.594 | 488 |
| 35.85 | 2.505 | 147 |
| 37.45 | 2.402 | 198 |
| 54.54 | 1.683 | 269 |
| 54.73 | 1.677 | 140 |

***

Record 12
Diffraction record for La6InAg. The powder X-ray diffraction pattern is computed, not measured: it uses DFT lattice parameters and positions (PBE) and copper Kα.
Intensities are scaled so that the largest is 1000.

Cell lengths 5.430, 5.430, 17.965 Å; angles 90.00, 90.00, 90.00 degrees
Space group I4/mmm (No. 139)
Asymmetric unit:
La: 0.000 0.000 0.247 [4 per cell]
La: 0.000 0.500 0.110 [8 per cell]
In: 0.000 0.000 0.000 [2 per cell]
Ag: 0.000 0.000 0.500 [2 per cell]

Principal peaks in the range 15° ≤ 2θ ≤ 90°, low angle first:
| 2theta | d [Å] | I/Imax |
| --- | --- | --- |
| 30.63 | 2.919 | 1000 |
| 32.99 | 2.715 | 443 |
| 40.15 | 2.246 | 94 |
| 47.35 | 1.920 | 160 |
| 52.91 | 1.730 | 168 |
| 57.46 | 1.604 | 330 |
| 63.78 | 1.459 | 94 |
| 77.56 | 1.231 | 68 |
| 78.83 | 1.214 | 70 |
| 86.18 | 1.128 | 55 |

***

Record 13
Diffraction record for La3InAg3. The powder X-ray diffraction pattern is computed, not measured: it uses DFT lattice parameters and positions (PBE) and copper Kα.
Intensities are scaled so that the largest is 1000.

Cell lengths 11.466, 4.632, 15.690 Å; angles 90.00, 107.93, 90.00 degrees
Space group C2/m (No. 12)
Asymmetric unit:
La: 0.033 0.000 0.387 [4 per cell]
La: 0.105 0.000 0.921 [4 per cell]
La: 0.243 0.000 0.228 [4 per cell]
In: 0.242 0.500 0.390 [4 per cell]
Ag: 0.027 0.500 0.230 [4 per cell]
Ag: 0.111 0.500 0.075 [4 per cell]
Ag: 0.130 0.500 0.540 [4 per cell]

Principal peaks in the range 15° ≤ 2θ ≤ 90°, low angle first:
| 2theta | d [Å] | I/Imax |
| --- | --- | --- |
| 29.18 | 3.061 | 750 |
| 29.86 | 2.992 | 1000 |
| 30.36 | 2.944 | 404 |
| 31.26 | 2.861 | 429 |
| 34.58 | 2.594 | 458 |
| 36.10 | 2.488 | 305 |
| 36.25 | 2.478 | 964 |
| 37.18 | 2.418 | 288 |
| 38.88 | 2.316 | 658 |
| 59.89 | 1.544 | 273 |